Entry 1:
Diffraction record for Ce3Tc2Sn3. The powder diffractogram is calculated, not measured: it uses a DFT-relaxed cell (PBE, Alexandria) and Cu Kα (weighted mean of Kα1 and Kα2).
No peak broadening, texture or thermal motion is included.

Main lines, in order of falling intensity (2θ = 5–70°):
- 31.82°, intensity 100, hkl 3 1 1
- 37.09°, intensity 65, hkl 0 2 0
- 29.35°, intensity 53, hkl 3 1 -1
- 33.06°, intensity 51, hkl 5 1 0
- 36.12°, intensity 43, hkl 5 1 -1
- 32.89°, intensity 33, hkl 6 0 0
- 36.35°, intensity 29, hkl 0 0 2
- 50.40°, intensity 27, hkl 6 2 0
- 36.66°, intensity 21, hkl 2 0 -2
- 52.90°, intensity 20, hkl 0 2 2
- 53.12°, intensity 18, hkl 2 2 -2
- 24.58°, intensity 17, hkl 3 1 0

Atomic structure:
```
data_Ce3Tc2Sn3
_chemical_formula_sum 'Ce6 Tc4 Sn6'
_symmetry_space_group_name_H-M 'C 1 2/m 1'
_symmetry_Int_Tables_number 12
_cell_length_a 16.466
_cell_length_b 4.848
_cell_length_c 4.982
_cell_angle_alpha 90.00
_cell_angle_beta 97.13
_cell_angle_gamma 90.00
loop_
_symmetry_equiv_pos_as_xyz
'x,y,z'
'-x,-y,-z'
'-x,y,-z'
'x,-y,z'
'x+1/2,y+1/2,z'
'-x+1/2,-y+1/2,-z'
'-x+1/2,y+1/2,-z'
'x+1/2,-y+1/2,z'
loop_
_atom_site_label
_atom_site_type_symbol
_atom_site_fract_x
_atom_site_fract_y
_atom_site_fract_z
Ce1 Ce 0.000 0.000 0.000
Ce2 Ce 0.174 0.000 0.576
Tc1 Tc 0.208 0.000 0.115
Sn1 Sn 0.000 0.500 0.500
Sn2 Sn 0.132 0.500 0.049
```

Entry 2:
Diffraction record for TaPd2Pt. The powder diffractogram is calculated, not measured: it uses a DFT-relaxed cell (PBE, Alexandria) and Cu Kα (weighted mean of Kα1 and Kα2).
No peak broadening, texture or thermal motion is included.

Main lines, in order of falling intensity (2θ = 5–70°):
- 39.20°, intensity 100, hkl 1 1 1
- 46.06°, intensity 32, hkl 2 0 0
- 66.05°, intensity 22, hkl 2 0 2
- 44.59°, intensity 17, hkl 0 0 2
- 67.19°, intensity 10, hkl 2 2 0
- 21.87°, intensity 7, hkl 0 0 1
- 32.12°, intensity 6, hkl 1 1 0
- 51.55°, intensity 3, hkl 2 0 1
- 56.01°, intensity 3, hkl 1 1 2

Atomic structure:
```
data_TaPd2Pt
_chemical_formula_sum 'Ta1 Pd2 Pt1'
_symmetry_space_group_name_H-M 'P 4/m m m'
_symmetry_Int_Tables_number 123
_symmetry_space_group_name_Hall '-P 4 2'
_cell_length_a 3.941
_cell_length_b 3.941
_cell_length_c 4.064
_cell_angle_alpha 90.00
_cell_angle_beta 90.00
_cell_angle_gamma 90.00
loop_
_atom_site_label
_atom_site_type_symbol
_atom_site_fract_x
_atom_site_fract_y
_atom_site_fract_z
Ta1 Ta 0.000 0.000 0.000
Pd1 Pd 0.000 0.500 0.500
Pt1 Pt 0.500 0.500 0.000
```

Entry 3:
Diffraction record for Cs3TlFe2Cl9. The powder diffractogram is calculated, not measured: it uses a DFT-relaxed cell (PBE, Alexandria) and Cu Kα (weighted mean of Kα1 and Kα2).
No peak broadening, texture or thermal motion is included.

Main lines, in order of falling intensity (2θ = 5–70°):
- 33.44°, intensity 100, hkl 2 0 2
- 22.98°, intensity 98, hkl 0 1 2
- 23.96°, intensity 80, hkl 1 1 0
- 41.56°, intensity 36, hkl 1 2 2
- 49.06°, intensity 31, hkl 2 2 0
- 29.26°, intensity 27, hkl 0 2 1
- 46.95°, intensity 27, hkl 0 2 4
- 53.38°, intensity 22, hkl 2 1 4
- 54.84°, intensity 20, hkl 3 1 2
- 39.76°, intensity 18, hkl 1 0 4
- 42.15°, intensity 18, hkl 3 0 0
- 60.68°, intensity 16, hkl 0 4 2

Atomic structure:
```
data_Cs3TlFe2Cl9
_chemical_formula_sum 'Cs3 Tl1 Fe2 Cl9'
_symmetry_space_group_name_H-M 'P -3 m 1'
_symmetry_Int_Tables_number 164
_symmetry_space_group_name_Hall '-P 3 2"'
_cell_length_a 7.4269
_cell_length_b 7.4269
_cell_length_c 9.6902
_cell_angle_alpha 90.00
_cell_angle_beta 90.00
_cell_angle_gamma 120.00
loop_
_atom_site_label
_atom_site_type_symbol
_atom_site_fract_x
_atom_site_fract_y
_atom_site_fract_z
Cs1 Cs 0.0000 0.0000 0.0000
Cs2 Cs 0.3333 0.6667 0.6965
Tl1 Tl 0.0000 0.0000 0.5000
Fe1 Fe 0.3333 0.6667 0.1570
Cl1 Cl 0.0000 0.5000 0.0000
Cl2 Cl 0.1801 0.3602 0.2907
```

Entry 4:
Diffraction record for BeZn4. The powder diffractogram is calculated, not measured: it uses a DFT-relaxed cell (PBE, Alexandria) and Cu Kα (weighted mean of Kα1 and Kα2).
No peak broadening, texture or thermal motion is included.

Main lines, in order of falling intensity (2θ = 5–70°):
- 41.25°, intensity 100, hkl 2 1 1
- 47.40°, intensity 34, hkl 1 3 0
- 28.23°, intensity 16, hkl 1 0 1
- 49.19°, intensity 14, hkl 0 0 2
- 20.71°, intensity 9, hkl 1 1 0
- 69.28°, intensity 9, hkl 4 2 0
- 29.45°, intensity 8, hkl 2 0 0
- 60.44°, intensity 4, hkl 2 3 1
- 68.65°, intensity 3, hkl 1 4 1
- 58.38°, intensity 2, hkl 2 0 2
- 42.14°, intensity 2, hkl 2 2 0
- 53.92°, intensity 1, hkl 1 1 2

Atomic structure:
```
data_BeZn4
_chemical_formula_sum 'Be2 Zn8'
_symmetry_space_group_name_H-M 'I 4/m'
_symmetry_Int_Tables_number 87
_symmetry_space_group_name_Hall '-I 4'
_cell_length_a 6.065
_cell_length_b 6.065
_cell_length_c 3.705
_cell_angle_alpha 90.00
_cell_angle_beta 90.00
_cell_angle_gamma 90.00
loop_
_atom_site_label
_atom_site_type_symbol
_atom_site_fract_x
_atom_site_fract_y
_atom_site_fract_z
Be1 Be 0.000 0.000 0.000
Zn1 Zn 0.102 0.292 0.500
```

Entry 5:
Diffraction record for Rb2Mg2ScSe4. The powder diffractogram is calculated, not measured: it uses a DFT-relaxed cell (PBE, Alexandria) and Cu Kα (weighted mean of Kα1 and Kα2).
No peak broadening, texture or thermal motion is included.

Main lines, in order of falling intensity (2θ = 5–70°):
- 27.70°, intensity 100, hkl 4 0 -2
- 30.58°, intensity 84, hkl 1 1 -2
- 29.18°, intensity 41, hkl 4 0 1
- 25.57°, intensity 33, hkl 1 1 1
- 35.73°, intensity 32, hkl 5 1 -1
- 51.98°, intensity 30, hkl 4 2 -2
- 43.01°, intensity 27, hkl 0 2 0
- 48.99°, intensity 25, hkl 3 1 3
- 47.12°, intensity 18, hkl 7 1 -2
- 31.96°, intensity 17, hkl 3 1 1
- 52.82°, intensity 15, hkl 4 2 1
- 32.58°, intensity 14, hkl 3 1 -2

Atomic structure:
```
data_Rb2Mg2ScSe4
_chemical_formula_sum 'Rb4 Mg4 Sc2 Se8'
_symmetry_space_group_name_H-M 'C 1 2/m 1'
_symmetry_Int_Tables_number 12
_cell_length_a 15.752
_cell_length_b 4.206
_cell_length_c 8.140
_cell_angle_alpha 90.00
_cell_angle_beta 106.92
_cell_angle_gamma 90.00
loop_
_symmetry_equiv_pos_as_xyz
'x,y,z'
'-x,-y,-z'
'-x,y,-z'
'x,-y,z'
'x+1/2,y+1/2,z'
'-x+1/2,-y+1/2,-z'
'-x+1/2,y+1/2,-z'
'x+1/2,-y+1/2,z'
loop_
_atom_site_label
_atom_site_type_symbol
_atom_site_fract_x
_atom_site_fract_y
_atom_site_fract_z
Rb1 Rb 0.125 0.000 0.041
Mg1 Mg 0.168 0.500 0.481
Sc1 Sc 0.000 0.000 0.500
Se1 Se 0.014 0.500 0.275
Se2 Se 0.202 0.000 0.675
```

Entry 6:
Diffraction record for Na2Cd2Te3. The powder diffractogram is calculated, not measured: it uses a DFT-relaxed cell (PBE, Alexandria) and Cu Kα (weighted mean of Kα1 and Kα2).
No peak broadening, texture or thermal motion is included.

Main lines, in order of falling intensity (2θ = 5–70°):
- 37.58°, intensity 100, hkl 3 3 -3
- 20.63°, intensity 73, hkl 1 3 -1
- 23.80°, intensity 59, hkl 1 3 1
- 41.65°, intensity 56, hkl 5 3 1
- 21.82°, intensity 53, hkl 2 0 -2
- 31.56°, intensity 46, hkl 3 3 1
- 23.63°, intensity 38, hkl 4 0 0
- 11.75°, intensity 38, hkl 2 0 0
- 35.40°, intensity 37, hkl 0 6 0
- 42.28°, intensity 35, hkl 4 0 2
- 17.02°, intensity 34, hkl 2 2 -1
- 31.48°, intensity 34, hkl 2 4 1

Atomic structure:
```
data_Na2Cd2Te3
_chemical_formula_sum 'Na16 Cd16 Te24'
_symmetry_space_group_name_H-M 'C 1 2/c 1'
_symmetry_Int_Tables_number 15
_cell_length_a 17.116
_cell_length_b 15.215
_cell_length_c 8.147
_cell_angle_alpha 90.00
_cell_angle_beta 118.37
_cell_angle_gamma 90.00
loop_
_symmetry_equiv_pos_as_xyz
'x,y,z'
'-x,-y,-z'
'-x,y,-z+1/2'
'x,-y,z+1/2'
'x+1/2,y+1/2,z'
'-x+1/2,-y+1/2,-z'
'-x+1/2,y+1/2,-z+1/2'
'x+1/2,-y+1/2,z+1/2'
loop_
_atom_site_label
_atom_site_type_symbol
_atom_site_fract_x
_atom_site_fract_y
_atom_site_fract_z
Na1 Na 0.000 0.074 0.250
Na2 Na 0.000 0.225 0.750
Na3 Na 0.117 0.420 0.677
Cd1 Cd 0.182 0.235 0.261
Cd2 Cd 0.209 0.080 0.797
Te1 Te 0.105 0.388 0.042
Te2 Te 0.126 0.227 0.546
Te3 Te 0.137 0.073 0.056
```

Entry 7:
Diffraction record for CdGe2Bi. The powder diffractogram is calculated, not measured: it uses a DFT-relaxed cell (PBE, Alexandria) and Cu Kα (weighted mean of Kα1 and Kα2).
No peak broadening, texture or thermal motion is included.

Main lines, in order of falling intensity (2θ = 5–70°):
- 34.93°, intensity 100, hkl 2 2 0
- 62.63°, intensity 36, hkl 4 2 2
- 50.22°, intensity 18, hkl 4 0 0
- 24.50°, intensity 16, hkl 2 0 0
- 21.18°, intensity 8, hkl 1 1 1
- 56.65°, intensity 7, hkl 4 2 0
- 41.20°, intensity 5, hkl 3 1 1
- 43.13°, intensity 5, hkl 2 2 2
- 55.09°, intensity 2, hkl 3 3 1
- 66.91°, intensity 2, hkl 5 1 1

Atomic structure:
```
data_CdGe2Bi
_chemical_formula_sum 'Cd4 Ge8 Bi4'
_symmetry_space_group_name_H-M 'F m -3 m'
_symmetry_Int_Tables_number 225
_symmetry_space_group_name_Hall '-F 4 2 3'
_cell_length_a 7.266
_cell_length_b 7.266
_cell_length_c 7.266
_cell_angle_alpha 90.00
_cell_angle_beta 90.00
_cell_angle_gamma 90.00
loop_
_atom_site_label
_atom_site_type_symbol
_atom_site_fract_x
_atom_site_fract_y
_atom_site_fract_z
Cd1 Cd 0.000 0.000 0.000
Ge1 Ge 0.250 0.250 0.250
Bi1 Bi 0.000 0.000 0.500
```

Entry 8:
Diffraction record for La11Tb9Th4. The powder diffractogram is calculated, not measured: it uses a DFT-relaxed cell (PBE, Alexandria) and Cu Kα (weighted mean of Kα1 and Kα2).
No peak broadening, texture or thermal motion is included.

Main lines, in order of falling intensity (2θ = 5–70°):
- 31.67°, intensity 100, hkl 4 0 1
- 29.09°, intensity 52, hkl 4 6 0
- 29.49°, intensity 19, hkl 2 4 1
- 30.37°, intensity 18, hkl 3 3 1
- 57.97°, intensity 17, hkl 4 6 2
- 31.26°, intensity 15, hkl 1 9 0
- 33.37°, intensity 14, hkl 3 5 1
- 48.96°, intensity 14, hkl 0 0 2
- 59.25°, intensity 13, hkl 7 13 0
- 31.74°, intensity 12, hkl 6 2 0
- 34.61°, intensity 11, hkl 3 9 0
- 53.32°, intensity 10, hkl 6 10 1

Atomic structure:
```
data_La11Tb9Th4
_chemical_formula_sum 'La22 Tb18 Th8'
_symmetry_space_group_name_H-M 'C m m m'
_symmetry_Int_Tables_number 65
_symmetry_space_group_name_Hall '-C 2 2'
_cell_length_a 17.323
_cell_length_b 26.110
_cell_length_c 3.721
_cell_angle_alpha 90.00
_cell_angle_beta 90.00
_cell_angle_gamma 90.00
loop_
_atom_site_label
_atom_site_type_symbol
_atom_site_fract_x
_atom_site_fract_y
_atom_site_fract_z
La1 La 0.000 0.000 0.000
La2 La 0.000 0.158 0.000
La3 La 0.000 0.369 0.000
La4 La 0.204 0.500 0.000
La5 La 0.228 0.181 0.000
Tb1 Tb 0.000 0.500 0.500
Tb2 Tb 0.101 0.265 0.500
Tb3 Tb 0.140 0.073 0.500
Th1 Th 0.157 0.398 0.500
```

Entry 9:
Diffraction record for Pm3ErAl2. The powder diffractogram is calculated, not measured: it uses a DFT-relaxed cell (PBE, Alexandria) and Cu Kα (weighted mean of Kα1 and Kα2).
No peak broadening, texture or thermal motion is included.

Main lines, in order of falling intensity (2θ = 5–70°):
- 32.68°, intensity 100, hkl 1 3 0
- 33.35°, intensity 69, hkl 1 1 2
- 34.59°, intensity 40, hkl 2 0 0
- 23.63°, intensity 34, hkl 1 1 1
- 28.58°, intensity 31, hkl 1 2 1
- 32.00°, intensity 23, hkl 1 0 2
- 48.34°, intensity 22, hkl 2 2 2
- 22.73°, intensity 21, hkl 0 2 1
- 59.30°, intensity 17, hkl 1 4 3
- 41.82°, intensity 17, hkl 0 1 3
- 61.75°, intensity 16, hkl 1 6 1
- 30.79°, intensity 14, hkl 0 3 1

Atomic structure:
```
data_Pm3ErAl2
_chemical_formula_sum 'Pm6 Er2 Al4'
_symmetry_space_group_name_H-M 'P m c 21'
_symmetry_Int_Tables_number 26
_cell_length_a 5.186
_cell_length_b 9.685
_cell_length_c 6.642
_cell_angle_alpha 90.00
_cell_angle_beta 90.00
_cell_angle_gamma 90.00
loop_
_symmetry_equiv_pos_as_xyz
'x,y,z'
'-x,-y,z+1/2'
'-x,y,z'
'x,-y,z+1/2'
loop_
_atom_site_label
_atom_site_type_symbol
_atom_site_fract_x
_atom_site_fract_y
_atom_site_fract_z
Pm1 Pm 0.000 0.040 0.000
Pm2 Pm 0.000 0.331 0.334
Pm3 Pm 0.500 0.179 0.717
Er1 Er 0.500 0.457 0.049
Al1 Al 0.000 0.352 0.822
Al2 Al 0.500 0.150 0.232
```

Entry 10:
Diffraction record for NaCa3Rh. The powder diffractogram is calculated, not measured: it uses a DFT-relaxed cell (PBE, Alexandria) and Cu Kα (weighted mean of Kα1 and Kα2).
No peak broadening, texture or thermal motion is included.

Main lines, in order of falling intensity (2θ = 5–70°):
- 32.14°, intensity 100, hkl 1 0 2
- 11.13°, intensity 99, hkl 0 0 1
- 46.09°, intensity 46, hkl 1 2 2
- 15.92°, intensity 45, hkl 0 1 0
- 25.40°, intensity 29, hkl 1 0 1
- 19.47°, intensity 27, hkl 0 1 1
- 36.05°, intensity 22, hkl 1 1 2
- 30.12°, intensity 18, hkl 1 1 1
- 41.42°, intensity 15, hkl 1 2 1
- 34.13°, intensity 13, hkl 0 2 1
- 45.64°, intensity 12, hkl 0 0 4
- 56.93°, intensity 12, hkl 0 2 4

Atomic structure:
```
data_NaCa3Rh
_chemical_formula_sum 'Na1 Ca3 Rh1'
_symmetry_space_group_name_H-M 'P m m m'
_symmetry_Int_Tables_number 47
_cell_length_a 3.907
_cell_length_b 5.567
_cell_length_c 7.951
_cell_angle_alpha 90.00
_cell_angle_beta 90.00
_cell_angle_gamma 90.00
loop_
_symmetry_equiv_pos_as_xyz
'x,y,z'
'-x,-y,-z'
'-x,-y,z'
'x,y,-z'
'x,-y,-z'
'-x,y,z'
'-x,y,-z'
'x,-y,z'
loop_
_atom_site_label
_atom_site_type_symbol
_atom_site_fract_x
_atom_site_fract_y
_atom_site_fract_z
Na1 Na 0.000 0.000 0.000
Ca1 Ca 0.000 0.000 0.500
Ca2 Ca 0.500 0.500 0.250
Rh1 Rh 0.000 0.500 0.500
```

Entry 11:
Diffraction record for Co3Si2Ni. The powder diffractogram is calculated, not measured: it uses a DFT-relaxed cell (PBE, Alexandria) and Cu Kα (weighted mean of Kα1 and Kα2).
No peak broadening, texture or thermal motion is included.

Main lines, in order of falling intensity (2θ = 5–70°):
- 45.20°, intensity 100, hkl 1 1 1
- 43.79°, intensity 81, hkl 2 0 0
- 32.47°, intensity 75, hkl 1 0 1
- 50.58°, intensity 46, hkl 2 0 1
- 68.00°, intensity 40, hkl 2 0 2
- 49.25°, intensity 36, hkl 0 0 2
- 64.76°, intensity 18, hkl 2 1 1
- 24.05°, intensity 11, hkl 0 0 1
- 37.68°, intensity 9, hkl 1 1 0
- 21.49°, intensity 8, hkl 1 0 0
- 63.63°, intensity 4, hkl 1 1 2
- 54.33°, intensity 1, hkl 1 0 2

Atomic structure:
```
data_Co3Si2Ni
_chemical_formula_sum 'Co3 Si2 Ni1'
_symmetry_space_group_name_H-M 'P 6/m m m'
_symmetry_Int_Tables_number 191
_symmetry_space_group_name_Hall '-P 6 2'
_cell_length_a 4.7744
_cell_length_b 4.7744
_cell_length_c 3.7000
_cell_angle_alpha 90.00
_cell_angle_beta 90.00
_cell_angle_gamma 120.00
loop_
_atom_site_label
_atom_site_type_symbol
_atom_site_fract_x
_atom_site_fract_y
_atom_site_fract_z
Co1 Co 0.0000 0.5000 0.0000
Si1 Si 0.3333 0.6667 0.5000
Ni1 Ni 0.0000 0.0000 0.5000
```

Entry 12:
Diffraction record for CsGa6Ge6. The powder diffractogram is calculated, not measured: it uses a DFT-relaxed cell (PBE, Alexandria) and Cu Kα (weighted mean of Kα1 and Kα2).
No peak broadening, texture or thermal motion is included.

Main lines, in order of falling intensity (2θ = 5–70°):
- 30.51°, intensity 100, hkl 2 1 1
- 47.39°, intensity 58, hkl 3 1 2
- 24.81°, intensity 42, hkl 2 0 0
- 43.68°, intensity 39, hkl 2 2 2
- 50.89°, intensity 33, hkl 4 0 0
- 17.47°, intensity 30, hkl 1 1 0
- 12.33°, intensity 19, hkl 1 0 0
- 57.41°, intensity 16, hkl 4 2 0
- 60.50°, intensity 14, hkl 3 3 2
- 27.79°, intensity 12, hkl 2 1 0
- 21.44°, intensity 8, hkl 1 1 1
- 39.71°, intensity 8, hkl 3 0 1

Atomic structure:
```
data_CsGa6Ge6
_chemical_formula_sum 'Cs1 Ga6 Ge6'
_symmetry_space_group_name_H-M 'P m -3'
_symmetry_Int_Tables_number 200
_symmetry_space_group_name_Hall '-P 2 2 3'
_cell_length_a 7.178
_cell_length_b 7.178
_cell_length_c 7.178
_cell_angle_alpha 90.00
_cell_angle_beta 90.00
_cell_angle_gamma 90.00
loop_
_atom_site_label
_atom_site_type_symbol
_atom_site_fract_x
_atom_site_fract_y
_atom_site_fract_z
Cs1 Cs 0.000 0.000 0.000
Ga1 Ga 0.000 0.500 0.252
Ge1 Ge 0.000 0.249 0.500
```